The following is a computed powder diffraction line list of HfTaNi. It was derived from a crystal structure in Alexandria, relaxed with PBE, using Cu Kα, 1.54184 Å.
Neutral-atom scattering factors, no anomalous dispersion.

Peak list (10 most intense, 2θ from 10° to 90°, sorted by position)
31.9 deg, rel. 29; 36.2 deg, rel. 100; 36.4 deg, rel. 47; 38.9 deg, rel. 29; 40.3 deg, rel. 42; 45.8 deg, rel. 36; 46.6 deg, rel. 14; 64.3 deg, rel. 15; 68.0 deg, rel. 12; 75.9 deg, rel. 13

Crystal structure
```
data_HfTaNi
_chemical_formula_sum 'Hf16 Ta16 Ni16'
_cell_length_a 5.1233
_cell_length_b 8.6251
_cell_length_c 18.1615
_cell_angle_alpha 90.00
_cell_angle_beta 90.00
_cell_angle_gamma 90.00
_symmetry_space_group_name_H-M 'F d d d'
_symmetry_Int_Tables_number 70
loop_
_symmetry_equiv_pos_as_xyz
'x,y,z'
'-x,-y,-z'
'-x+1/4,-y+1/4,z'
'x+1/4,y+1/4,-z'
'x,-y+1/4,-z+1/4'
'-x,y+1/4,z+1/4'
'-x+1/4,y,-z+1/4'
'x+1/4,-y,z+1/4'
'x,y+1/2,z+1/2'
'-x,-y+1/2,-z+1/2'
'-x+1/4,-y+3/4,z+1/2'
'x+1/4,y+3/4,-z+1/2'
'x,-y+3/4,-z+3/4'
'-x,y+3/4,z+3/4'
'-x+1/4,y+1/2,-z+3/4'
'x+1/4,-y+1/2,z+3/4'
'x+1/2,y,z+1/2'
'-x+1/2,-y,-z+1/2'
'-x+3/4,-y+1/4,z+1/2'
'x+3/4,y+1/4,-z+1/2'
'x+1/2,-y+1/4,-z+3/4'
'-x+1/2,y+1/4,z+3/4'
'-x+3/4,y,-z+3/4'
'x+3/4,-y,z+3/4'
'x+1/2,y+1/2,z'
'-x+1/2,-y+1/2,-z'
'-x+3/4,-y+3/4,z'
'x+3/4,y+3/4,-z'
'x+1/2,-y+3/4,-z+1/4'
'-x+1/2,y+3/4,z+1/4'
'-x+3/4,y+1/2,-z+1/4'
'x+3/4,-y+1/2,z+1/4'
loop_
_atom_site_label
_atom_site_type_symbol
_atom_site_fract_x
_atom_site_fract_y
_atom_site_fract_z
Hf1 Hf 0.1250 0.2957 0.1250
Ta1 Ta 0.1250 0.1250 0.5455
Ni1 Ni 0.1250 0.1250 0.0007
```